Record 1
Diffraction record for LiSiBiO4. The powder diffractogram is calculated, not measured: it uses a cell relaxed with PBE and copper Kα.
Kinematic intensities with the Lorentz-polarization factor, no thermal factor.

Largest 10 diffraction maxima, in order of rising 2θ, 10° ≤ 2θ ≤ 90°:
Position (°2θ)	Rel. int.
20.3	100
21.6	20
29.1	10
29.8	88
35.5	28
41.2	16
42.0	29
47.0	23
49.0	21
60.3	16

Structure:
a = 10.1159 Å, b = 10.1159 Å, c = 8.2130 Å
α = 90.00°, β = 90.00°, γ = 120.00°
Fractional coordinates of all 56 atoms:
Li (0.0828, 0.3172, 0.0000)
Li (0.2344, 0.9172, 0.0000)
Li (0.3172, 0.2344, 0.5000)
Li (0.3333, 0.6667, 0.5183)
Li (0.6667, 0.3333, 0.0183)
Li (0.6828, 0.7656, 0.0000)
Li (0.7656, 0.0828, 0.5000)
Li (0.9172, 0.6828, 0.5000)
Si (0.0931, 0.3144, 0.6281)
Si (0.2213, 0.9069, 0.6281)
Si (0.3144, 0.2213, 0.1281)
Si (0.3333, 0.6667, 0.0594)
Si (0.6667, 0.3333, 0.5594)
Si (0.6856, 0.7787, 0.6281)
Si (0.7787, 0.0931, 0.1281)
Si (0.9069, 0.6856, 0.1281)
Bi (0.0000, 0.0000, 0.3527)
Bi (0.0000, 0.0000, 0.8527)
Bi (0.0258, 0.4908, 0.2840)
Bi (0.4650, 0.9742, 0.2840)
Bi (0.4908, 0.4650, 0.7840)
Bi (0.5092, 0.5350, 0.2840)
Bi (0.5350, 0.0258, 0.7840)
Bi (0.9742, 0.5092, 0.7840)
O (0.0131, 0.8303, 0.0050)
O (0.0165, 0.7166, 0.2895)
O (0.0651, 0.7489, 0.6716)
O (0.1295, 0.4851, 0.5619)
O (0.1586, 0.5408, 0.0026)
O (0.1697, 0.1828, 0.0050)
O (0.1828, 0.0131, 0.5050)
O (0.2511, 0.3162, 0.6716)
O (0.2834, 0.2998, 0.2895)
O (0.2998, 0.0165, 0.7895)
O (0.3162, 0.0651, 0.1716)
O (0.3333, 0.6667, 0.2642)
O (0.3556, 0.8705, 0.5619)
O (0.3821, 0.8414, 0.0026)
O (0.4592, 0.6179, 0.0026)
O (0.4851, 0.3556, 0.0619)
O (0.5149, 0.6444, 0.5619)
O (0.5408, 0.3821, 0.5026)
O (0.6179, 0.1586, 0.5026)
O (0.6444, 0.1295, 0.0619)
O (0.6667, 0.3333, 0.7642)
O (0.6838, 0.9349, 0.6716)
O (0.7002, 0.9835, 0.2895)
O (0.7166, 0.7002, 0.7895)
O (0.7489, 0.6838, 0.1716)
O (0.8172, 0.9869, 0.0050)
O (0.8303, 0.8172, 0.5050)
O (0.8414, 0.4592, 0.5026)
O (0.8705, 0.5149, 0.0619)
O (0.9349, 0.2511, 0.1716)
O (0.9835, 0.2834, 0.7895)
O (0.9869, 0.1697, 0.5050)

---

Record 2
Diffraction record for BaBeSi. The powder diffractogram is calculated, not measured: it uses a cell relaxed with PBE and copper Kα.
Kinematic intensities with the Lorentz-polarization factor, no thermal factor.

Largest 10 diffraction maxima, in order of rising 2θ, 10° ≤ 2θ ≤ 90°:
Position (°2θ)	Rel. int.
18.0	24
24.9	50
30.9	100
36.5	13
43.9	23
44.7	21
54.6	19
58.3	19
62.2	13
72.6	17

Structure:
a = 4.1271 Å, b = 4.1271 Å, c = 4.9296 Å
α = 90.00°, β = 90.00°, γ = 120.00°
Fractional coordinates of all 3 atoms:
Ba (0.0000, 0.0000, 0.0000)
Be (0.3333, 0.6667, 0.5000)
Si (0.6667, 0.3333, 0.5000)

---

Record 3
Diffraction record for VS. The powder diffractogram is calculated, not measured: it uses a cell relaxed with PBE and copper Kα.
Kinematic intensities with the Lorentz-polarization factor, no thermal factor.

Largest 10 diffraction maxima, in order of rising 2θ, 10° ≤ 2θ ≤ 90°:
Position (°2θ)	Rel. int.
31.9	38
34.6	24
35.5	41
44.0	45
44.8	100
44.9	34
49.7	17
55.5	24
57.5	20
75.1	16

Structure:
a = 5.8497 Å, b = 3.2081 Å, c = 5.7928 Å
α = 90.00°, β = 90.00°, γ = 90.00°
Fractional coordinates of all 8 atoms:
V (0.0103, 0.2500, 0.1977)
V (0.4897, 0.7500, 0.6977)
V (0.5103, 0.2500, 0.3023)
V (0.9897, 0.7500, 0.8023)
S (0.2198, 0.2500, 0.5768)
S (0.2802, 0.7500, 0.0768)
S (0.7198, 0.2500, 0.9232)
S (0.7802, 0.7500, 0.4232)

---

Record 4
Diffraction record for KLuO2. The powder diffractogram is calculated, not measured: it uses a cell relaxed with PBE and copper Kα.
Kinematic intensities with the Lorentz-polarization factor, no thermal factor.

Largest 10 diffraction maxima, in order of rising 2θ, 10° ≤ 2θ ≤ 90°:
Position (°2θ)	Rel. int.
14.2	100
28.7	34
30.8	37
31.9	68
36.1	87
45.9	20
49.9	30
54.0	27
56.2	19
62.3	23

Structure:
a = 6.5293 Å, b = 6.5293 Å, c = 6.5293 Å
α = 30.13°, β = 30.13°, γ = 30.13°
Fractional coordinates of all 4 atoms:
K (0.0000, 0.0000, 0.0000)
Lu (0.5000, 0.5000, 0.5000)
O (0.2269, 0.2269, 0.2269)
O (0.7731, 0.7731, 0.7731)

---

Record 5
Diffraction record for Rb2Ba8CaSb6O2. The powder diffractogram is calculated, not measured: it uses a cell relaxed with PBE and copper Kα.
Kinematic intensities with the Lorentz-polarization factor, no thermal factor.

Largest 10 diffraction maxima, in order of rising 2θ, 10° ≤ 2θ ≤ 90°:
Position (°2θ)	Rel. int.
25.9	55
26.0	49
26.3	51
26.9	46
27.0	100
27.8	39
28.0	35
28.5	36
29.1	45
29.6	59

Structure:
a = 9.3204 Å, b = 9.9664 Å, c = 10.2457 Å
α = 116.86°, β = 113.82°, γ = 93.50°
Fractional coordinates of all 19 atoms:
Rb (0.0000, 0.0000, 0.0000)
Rb (0.4936, 0.4873, 0.9436)
Ba (0.0001, 0.6187, 0.6390)
Ba (0.1817, 0.9781, 0.6318)
Ba (0.2766, 0.7183, 0.2001)
Ba (0.4680, 0.6749, 0.6204)
Ba (0.5285, 0.2931, 0.2800)
Ba (0.5905, 0.1597, 0.6145)
Ba (0.7747, 0.9616, 0.2426)
Ba (0.9677, 0.4654, 0.2018)
Ca (0.9755, 0.3091, 0.6851)
Sb (0.1853, 0.3144, 0.0014)
Sb (0.1870, 0.2643, 0.4822)
Sb (0.3722, 0.8828, 0.9523)
Sb (0.6030, 0.0857, 0.9419)
Sb (0.7166, 0.7392, 0.4252)
Sb (0.8372, 0.5812, 0.8747)
O (0.2148, 0.7201, 0.4245)
O (0.7293, 0.1845, 0.4607)

---

Record 6
Diffraction record for Rb3Sb2Br9. The powder diffractogram is calculated, not measured: it uses a cell relaxed with PBE and copper Kα.
Kinematic intensities with the Lorentz-polarization factor, no thermal factor.

Largest 10 diffraction maxima, in order of rising 2θ, 10° ≤ 2θ ≤ 90°:
Position (°2θ)	Rel. int.
15.6	28
27.2	59
27.4	19
31.5	100
45.0	36
45.3	34
53.5	17
56.0	19
74.6	16
75.0	14

Structure:
a = 8.0506 Å, b = 8.0506 Å, c = 9.7762 Å
α = 90.00°, β = 90.00°, γ = 120.00°
Fractional coordinates of all 14 atoms:
Rb (0.0000, 0.0000, 0.0000)
Rb (0.3333, 0.6667, 0.3302)
Rb (0.6667, 0.3333, 0.6698)
Sb (0.3333, 0.6667, 0.8120)
Sb (0.6667, 0.3333, 0.1880)
Br (0.0000, 0.5000, 0.0000)
Br (0.1722, 0.3443, 0.6612)
Br (0.1722, 0.8278, 0.6612)
Br (0.3443, 0.1722, 0.3388)
Br (0.5000, 0.0000, 0.0000)
Br (0.5000, 0.5000, 0.0000)
Br (0.6557, 0.8278, 0.6612)
Br (0.8278, 0.1722, 0.3388)
Br (0.8278, 0.6557, 0.3388)

---

Record 7
Diffraction record for Lu4Al. The powder diffractogram is calculated, not measured: it uses a cell relaxed with PBE and copper Kα.
Kinematic intensities with the Lorentz-polarization factor, no thermal factor.

Largest 10 diffraction maxima, in order of rising 2θ, 10° ≤ 2θ ≤ 90°:
Position (°2θ)	Rel. int.
14.1	14
28.3	100
32.8	44
35.9	17
43.1	28
47.1	30
55.9	27
60.6	15
65.7	13
70.7	11

Structure:
a = 7.7143 Å, b = 7.7143 Å, c = 7.7143 Å
α = 60.00°, β = 60.00°, γ = 60.00°
Fractional coordinates of all 10 atoms:
Lu (0.1918, 0.7694, 0.7694)
Lu (0.2306, 0.2306, 0.2306)
Lu (0.2306, 0.2306, 0.8082)
Lu (0.2306, 0.8082, 0.2306)
Lu (0.7694, 0.1918, 0.7694)
Lu (0.7694, 0.7694, 0.1918)
Lu (0.7694, 0.7694, 0.7694)
Lu (0.8082, 0.2306, 0.2306)
Al (0.3750, 0.3750, 0.3750)
Al (0.6250, 0.6250, 0.6250)

---

What is the formula in the fifth record?
Rb2Ba8CaSb6O2